# 1
Simulated XRD peak list of NbPt8Au2 for Cu Kα (λ = 1.5418 Å), from a structure optimized by DFT (PBE).

Top 10 peaks for 15° ≤ 2θ ≤ 90°, in order of falling intensity:
38.41 deg, rel. 100.0, (0 4 1)
40.48 deg, rel. 82.3, (3 1 1)
45.21 deg, rel. 33.4, (0 0 2)
40.25 deg, rel. 28.9, (3 3 0)
51.64 deg, rel. 27.1, (3 5 0)
80.95 deg, rel. 23.6, (6 4 1)
71.02 deg, rel. 21.1, (3 5 2)
34.82 deg, rel. 16.6, (2 2 1)
62.11 deg, rel. 16.3, (3 3 2)
26.52 deg, rel. 15.8, (2 2 0)

Crystal structure
```
data_NbPt8Au2
_space_group_name_H-M_alt 'C m m m'
_space_group_IT_number 65
_space_group_name_Hall '-C 2 2'
_cell_length_a 8.266
_cell_length_b 11.549
_cell_length_c 4.012
_cell_angle_alpha 90.00
_cell_angle_beta 90.00
_cell_angle_gamma 90.00
loop_
_atom_site_label
_atom_site_type_symbol
_atom_site_fract_x
_atom_site_fract_y
_atom_site_fract_z
Nb1 Nb 0.000 0.000 0.000
Pt1 Pt 0.000 0.229 0.000
Pt2 Pt 0.168 0.124 0.500
Pt3 Pt 0.173 0.500 0.000
Au1 Au 0.000 0.377 0.500
```

---

# 2
Simulated XRD peak list of BaPm4Te5 for Cu Kα (λ = 1.5418 Å), from a structure optimized by DFT (PBE).

Top 10 peaks for 15° ≤ 2θ ≤ 90°, in order of falling intensity:
27.67 deg, rel. 100.0, (2 0 2)
39.44 deg, rel. 25.2, (5 1 0)
39.60 deg, rel. 24.2, (1 1 -4)
49.21 deg, rel. 13.7, (2 2 2)
39.88 deg, rel. 13.0, (0 2 0)
39.25 deg, rel. 11.4, (6 0 -4)
57.20 deg, rel. 7.7, (6 2 -4)
48.54 deg, rel. 6.7, (8 0 -2)
65.16 deg, rel. 5.8, (3 3 -2)
48.81 deg, rel. 5.7, (4 0 -6)

Crystal structure
```
data_BaPm4Te5
_space_group_name_H-M_alt 'C 1 2/m 1'
_space_group_IT_number 12
_cell_length_a 15.244
_cell_length_b 4.521
_cell_length_c 11.194
_cell_angle_alpha 90.00
_cell_angle_beta 119.70
_cell_angle_gamma 90.00
loop_
_space_group_symop_operation_xyz
'x,y,z'
'-x,-y,-z'
'-x,y,-z'
'x,-y,z'
'x+1/2,y+1/2,z'
'-x+1/2,-y+1/2,-z'
'-x+1/2,y+1/2,-z'
'x+1/2,-y+1/2,z'
loop_
_atom_site_label
_atom_site_type_symbol
_atom_site_fract_x
_atom_site_fract_y
_atom_site_fract_z
Ba1 Ba 0.000 0.000 0.000
Pm1 Pm 0.091 0.500 0.400
Pm2 Pm 0.198 0.000 0.781
Te1 Te 0.000 0.000 0.500
Te2 Te 0.115 0.500 0.897
Te3 Te 0.203 0.000 0.318
```